For Gd2Si4CN6, a cell relaxed with GGA-PBE gives the simulated XRD peak list in this record (CuKα).
Kinematic intensities with the Lorentz-polarization factor, no thermal factor.

Principal peaks in the range 2θ from 15° to 90°, in order of rising 2θ:
| h k l | d (Å) | Rel. int. |
| --- | --- | --- |
| 1 0 0 | 5.221 | 18 |
| 0 1 2 | 4.630 | 25 |
| 1 0 2 | 3.021 | 22 |
| 2 0 -2 | 3.002 | 42 |
| 0 3 2 | 2.811 | 100 |
| 1 2 2 | 2.587 | 18 |
| 1 2 -4 | 2.575 | 33 |
| 2 1 0 | 2.526 | 25 |
| 2 3 0 | 2.056 | 15 |
| 3 3 -2 | 1.695 | 15 |

Cell: 6.000 10.014 12.016 Å, 90.00 119.57 90.00°
Space group P2_1/c (No. 14)
Inequivalent atoms, fractional coordinates:
Gd  0.162  0.084  0.419 [4 per cell]
Gd  0.168  0.065  0.905 [4 per cell]
Si  0.177  0.228  0.659 [4 per cell]
Si  0.299  0.707  0.823 [4 per cell]
Si  0.334  0.713  0.579 [4 per cell]
Si  0.494  0.519  0.251 [4 per cell]
C  0.477  0.707  0.248 [4 per cell]
N  0.004  0.211  0.002 [4 per cell]
N  0.018  0.236  0.245 [4 per cell]
N  0.202  0.054  0.639 [4 per cell]
N  0.264  0.538  0.778 [4 per cell]
N  0.440  0.546  0.601 [4 per cell]
N  0.454  0.712  0.989 [4 per cell]

***

For GdNiC2, a cell relaxed with GGA-PBE gives the simulated XRD peak list in this record (CuKα).
Kinematic intensities with the Lorentz-polarization factor, no thermal factor.

Principal peaks in the range 2θ from 15° to 90°, in order of rising 2θ:
| h k l | d (Å) | Rel. int. |
| --- | --- | --- |
| 0 1 1 | 3.625 | 30 |
| 0 0 2 | 3.019 | 21 |
| 1 1 1 | 2.576 | 100 |
| 1 0 2 | 2.329 | 24 |
| 0 2 0 | 2.267 | 18 |
| 0 1 3 | 1.840 | 18 |
| 2 0 0 | 1.830 | 11 |
| 0 2 2 | 1.813 | 13 |
| 1 2 2 | 1.624 | 13 |
| 1 3 1 | 1.361 | 13 |

Cell: 3.660 4.534 6.038 Å, 90.00 90.00 90.00°
Space group Amm2 (No. 38)
Inequivalent atoms, fractional coordinates:
Gd  0.000  0.000  0.000 [2 per cell]
Ni  0.500  0.000  0.612 [2 per cell]
C  0.500  0.151  0.301 [4 per cell]